Structure and simulated powder diffraction line list of Ba2CoO4 (a structure optimized by DFT (PBE+U); λ = 1.5418 Å (Cu Kα)).
Lines closer than 0.1° are merged.

Most intense lines, 2θ from 5° to 70°, low angle first:
two_theta, I_rel, hkl
24.6, 41, 1 1 1
25.7, 44, 1 1 -3
28.5, 58, 1 2 0
28.7, 100, 1 0 2
29.0, 39, 1 2 -2
29.3, 84, 2 0 -2
30.1, 46, 1 0 -4
36.0, 37, 0 3 1

Crystal structure
Cell lengths 6.107, 7.699, 11.869 Å; angles 90.00, 117.69, 90.00 degrees
Positions (direct):
Ba (0.035, 0.000, 0.308)
Ba (0.035, 0.500, 0.808)
Ba (0.316, 0.152, 0.078)
Ba (0.316, 0.348, 0.578)
Ba (0.684, 0.652, 0.422)
Ba (0.684, 0.848, 0.922)
Ba (0.965, 0.000, 0.692)
Ba (0.965, 0.500, 0.192)
Co (0.339, 0.723, 0.082)
Co (0.339, 0.777, 0.582)
Co (0.661, 0.223, 0.418)
Co (0.661, 0.277, 0.918)
O (0.140, 0.672, 0.638)
O (0.140, 0.828, 0.138)
O (0.246, 0.681, 0.426)
O (0.246, 0.819, 0.926)
O (0.287, 0.006, 0.572)
O (0.287, 0.494, 0.072)
O (0.339, 0.230, 0.817)
O (0.339, 0.270, 0.317)
O (0.661, 0.730, 0.683)
O (0.661, 0.770, 0.183)
O (0.713, 0.506, 0.928)
O (0.713, 0.994, 0.428)
O (0.754, 0.181, 0.074)
O (0.754, 0.319, 0.574)
O (0.860, 0.172, 0.862)
O (0.860, 0.328, 0.362)